Structure and calculated PXRD pattern of Li2FePCO7 (DFT lattice parameters and positions (PBE+U); a wavelength of 1.5418 Å).

Cell and atoms:
```
data_Li2FePCO7
_chemical_formula_sum 'Li8 Fe4 P4 C4 O28'
_cell_length_a 6.5042
_cell_length_b 9.3748
_cell_length_c 10.1178
_cell_angle_alpha 62.76
_cell_angle_beta 89.64
_cell_angle_gamma 89.35
_symmetry_space_group_name_H-M 'P 1'
_symmetry_Int_Tables_number 1
_symmetry_space_group_name_Hall 'P 1'
loop_
_atom_site_label
_atom_site_fract_x
_atom_site_fract_y
_atom_site_fract_z
Li1 0.0000 0.0000 0.0000
Li2 0.0019 0.4987 0.4995
Li3 0.0649 0.4750 0.9722
Li4 0.2850 0.8188 0.8076
Li5 0.2884 0.3202 0.3060
Li6 0.4961 0.9750 0.4722
Li7 0.7664 0.6538 0.1651
Li8 0.7794 0.1535 0.6678
Fe1 0.2913 0.2514 0.8018
Fe2 0.2934 0.7515 0.3019
Fe3 0.7776 0.2211 0.1737
Fe4 0.7861 0.7211 0.6731
P1 0.2763 0.6380 0.6663
P2 0.2786 0.1379 0.1658
P3 0.7842 0.8346 0.3088
P4 0.7918 0.3345 0.8091
C1 0.2609 0.6564 0.1084
C2 0.2843 0.1563 0.6075
C3 0.7874 0.3173 0.3674
C4 0.7917 0.8171 0.8669
O1 0.0934 0.7351 0.6852
O2 0.0975 0.2400 0.1812
O3 0.2487 0.6192 0.0033
O4 0.2581 0.1249 0.0200
O5 0.2581 0.8068 0.0832
O6 0.2589 0.3058 0.5825
O7 0.2647 0.6246 0.5203
O8 0.2684 0.4649 0.7985
O9 0.2801 0.5517 0.2495
O10 0.2885 0.9651 0.2983
O11 0.2898 0.0513 0.7492
O12 0.3079 0.1206 0.5020
O13 0.4671 0.7330 0.6732
O14 0.4714 0.2285 0.1748
O15 0.5951 0.2536 0.7914
O16 0.5975 0.7506 0.2795
O17 0.7531 0.8488 0.4538
O18 0.7579 0.1684 0.3929
O19 0.7724 0.9215 0.7259
O20 0.7882 0.6663 0.8930
O21 0.7919 0.4219 0.2255
O22 0.8046 0.3486 0.9550
O23 0.8118 0.3529 0.4727
O24 0.8132 0.0068 0.1781
O25 0.8131 0.8543 0.9716
O26 0.8142 0.5066 0.6768
O27 0.9676 0.2239 0.8018
O28 0.9695 0.7273 0.3124
```

The 10 most intense peaks (2θ = 15–90°), in order of rising 2θ:
d_spacing  I/Imax  index
5.144  19  1 1 1
5.092  19  -1 1 1
4.498  49  0 0 2
4.167  65  0 2 0
3.494  16  1 -2 0
3.352  35  0 1 3
3.252  100  2 0 0
2.533  16  0 2 -2
2.483  21  0 1 -3
1.626  14  4 0 0